This entry pairs a crystal structure of NaV2P2H8O14 with its theoretical powder X-ray diffraction pattern. Radiation: Cu Kα (weighted mean of Kα1 and Kα2). Structure: DFT lattice parameters and positions (PBE+U).
Intensities are scaled so that the largest is 100.

Cell and atoms:
Cell lengths 6.3631, 6.3711, 13.2977 Å; angles 81.34, 87.56, 89.99 degrees
Fractional coordinates of all 54 atoms:
Na (0.0706, 0.4972, 0.2510)
Na (0.9294, 0.5028, 0.7490)
V (0.2599, 0.7706, 0.4520)
V (0.2608, 0.2573, 0.9514)
V (0.7392, 0.7427, 0.0486)
V (0.7401, 0.2294, 0.5480)
P (0.2476, 0.7481, 0.0028)
P (0.2492, 0.2521, 0.5022)
P (0.7508, 0.7479, 0.4978)
P (0.7524, 0.2519, 0.9972)
H (0.1297, 0.9470, 0.2603)
H (0.1342, 0.8896, 0.8110)
H (0.1466, 0.8748, 0.6923)
H (0.3196, 0.2869, 0.7170)
H (0.3328, 0.8339, 0.2165)
H (0.3866, 0.4877, 0.7644)
H (0.3947, 0.2296, 0.3056)
H (0.3982, 0.2689, 0.1842)
H (0.6018, 0.7311, 0.8158)
H (0.6053, 0.7704, 0.6944)
H (0.6134, 0.5123, 0.2356)
H (0.6672, 0.1661, 0.7835)
H (0.6804, 0.7131, 0.2830)
H (0.8534, 0.1252, 0.3077)
H (0.8658, 0.1104, 0.1890)
H (0.8703, 0.0530, 0.7397)
O (0.0441, 0.7186, 0.0722)
O (0.0446, 0.2113, 0.5690)
O (0.0508, 0.8640, 0.7527)
O (0.2356, 0.8296, 0.2761)
O (0.2429, 0.9562, 0.9242)
O (0.2445, 0.4706, 0.4330)
O (0.2546, 0.7423, 0.5758)
O (0.2611, 0.2035, 0.0750)
O (0.2735, 0.5676, 0.9379)
O (0.2780, 0.0873, 0.4275)
O (0.2819, 0.3661, 0.7732)
O (0.4192, 0.3373, 0.2446)
O (0.4297, 0.7517, 0.0767)
O (0.4305, 0.2374, 0.5780)
O (0.5695, 0.7626, 0.4220)
O (0.5703, 0.2483, 0.9233)
O (0.5808, 0.6627, 0.7554)
O (0.7181, 0.6339, 0.2268)
O (0.7220, 0.9127, 0.5725)
O (0.7265, 0.4324, 0.0621)
O (0.7389, 0.7965, 0.9250)
O (0.7454, 0.2577, 0.4242)
O (0.7555, 0.5294, 0.5670)
O (0.7571, 0.0438, 0.0758)
O (0.7644, 0.1704, 0.7239)
O (0.9492, 0.1360, 0.2473)
O (0.9554, 0.7887, 0.4310)
O (0.9559, 0.2814, 0.9278)

Largest 12 diffraction maxima, most intense first, 2θ from 15° to 90°:
2θ (°), d (Å), I_rel, hkl
28.07, 3.179, 100.0, 2 0 0
28.34, 3.149, 96.6, 0 2 0
29.55, 3.023, 82.5, 0 2 2
31.80, 2.814, 61.7, 2 0 -2
30.72, 2.911, 60.1, 2 0 2
27.16, 3.283, 55.2, 0 0 4
19.85, 4.472, 49.6, 1 0 -2
22.92, 3.879, 36.2, 0 1 3
45.55, 1.991, 32.2, -3 1 1
45.00, 2.015, 30.8, 0 3 3
33.36, 2.686, 27.7, 0 2 -2
41.24, 2.189, 26.9, 0 0 6